Diffraction record for Rb2Sc2Bi2O. The X-ray diffraction stick pattern is simulated, not measured: it uses a DFT-relaxed cell (GGA-PBE, Alexandria) and Cu Ka.
Kinematic intensities with the Lorentz-polarization factor, no thermal factor.

The 12 most intense peaks (2θ from 5° to 70°), low angle first:
| 2θ/deg | I (rel.) | hkl |
| --- | --- | --- |
| 8.88 | 16 | 0 0 2 |
| 17.81 | 21 | 0 0 4 |
| 19.91 | 44 | 1 0 1 |
| 27.57 | 50 | 1 1 0 |
| 29.73 | 100 | 1 0 5 |
| 33.01 | 53 | 1 1 4 |
| 39.38 | 36 | 2 0 0 |
| 45.52 | 32 | 0 0 10 |
| 50.11 | 47 | 2 1 5 |
| 61.73 | 32 | 2 0 10 |
| 65.54 | 13 | 3 0 5 |
| 67.39 | 14 | 3 1 4 |

Crystal structure
a = 4.5762 Å, b = 4.5762 Å, c = 19.9224 Å
α = 90.00°, β = 90.00°, γ = 90.00°
Space group I4/mmm (No. 139)
Asymmetric unit:
Rb (0.0000, 0.0000, 0.1788)
Sc (0.0000, 0.5000, 0.0000)
Bi (0.0000, 0.0000, 0.3959)
O (0.0000, 0.0000, 0.0000)